This entry pairs a crystal structure of Pm2Dy9Tm with its calculated powder diffractogram. Radiation: Cu Ka. Structure: DFT lattice parameters and positions (PBE).

Cell and atoms:
Unit cell a=5.028 b=5.028 c=15.082 alpha=90.00 beta=90.00 gamma=90.00
Sites, in units of the cell vectors:
Pm (0.000, 0.000, 0.168)
Pm (0.000, 0.000, 0.832)
Dy (0.000, 0.500, 0.000)
Dy (0.000, 0.500, 0.336)
Dy (0.000, 0.500, 0.664)
Dy (0.500, 0.000, 0.000)
Dy (0.500, 0.000, 0.336)
Dy (0.500, 0.000, 0.664)
Dy (0.500, 0.500, 0.168)
Dy (0.500, 0.500, 0.500)
Dy (0.500, 0.500, 0.832)
Tm (0.000, 0.000, 0.500)

Top 5 peaks for 2θ = 5–70°, sorted by position:
- 2θ 30.8, I = 100, (1 1 3)
- 2θ 35.7, I = 51, (2 0 0)
- 2θ 51.4, I = 36, (2 2 0)
- 2θ 61.1, I = 43, (3 1 3)
- 2θ 64.2, I = 12, (2 2 6)